Sr2Mn2O5: calculated powder XRD pattern (Cu Kα (λ = 1.5418 Å)), based on a structure optimized by DFT (GGA+U).
Kinematic intensities with the Lorentz-polarization factor, no thermal factor.

Most intense lines, 10 to 90 degrees two-theta, most intense first:
2theta, d (Å), I/Imax
31.53, 2.837, 100
32.25, 2.776, 71
46.25, 1.963, 35
57.11, 1.613, 19
40.17, 2.245, 19
44.12, 2.052, 17
55.70, 1.650, 17
57.00, 1.616, 17
39.17, 2.300, 16
10.78, 8.210, 14

Structural model:
```
Sr2Mn2O5
1.0
-8.210 2.780 2.772
8.210 -2.780 2.772
8.210 2.780 -2.772
Sr Mn O
4 4 10
Direct
0.008 0.108 0.117 Sr
0.008 0.392 0.400 Sr
0.992 0.608 0.600 Sr
0.992 0.892 0.883 Sr
0.476 0.791 0.185 Mn
0.500 0.000 0.500 Mn
0.500 0.500 0.000 Mn
0.607 0.291 0.815 Mn
0.000 0.254 0.751 O
0.000 0.749 0.246 O
0.477 0.133 0.622 O
0.477 0.355 0.844 O
0.503 0.249 0.249 O
0.503 0.754 0.754 O
0.511 0.633 0.156 O
0.511 0.855 0.378 O
0.781 0.137 0.143 O
0.994 0.637 0.857 O
```